Diffraction record for Er2C3. The powder diffractogram is calculated, not measured: it uses a DFT-relaxed cell (GGA-PBE, the Materials Project) and λ = 1.5418 Å (Cu Kα).
Neutral-atom scattering factors, no anomalous dispersion.

Most intense lines, 2θ from 10° to 90°, sorted by position:
d = 3.324 Å, 26.8 deg, I = 48, hkl 2 1 1
d = 2.879 Å, 31.1 deg, I = 100, hkl 2 2 0
d = 2.575 Å, 34.8 deg, I = 96, hkl 3 1 0
d = 2.176 Å, 41.5 deg, I = 49, hkl 3 2 1
d = 1.597 Å, 57.7 deg, I = 64, hkl 4 3 1
d = 1.487 Å, 62.5 deg, I = 28, hkl 5 2 1

Atomic structure:
Cell lengths 8.143, 8.143, 8.143 Å; angles 90.00, 90.00, 90.00 degrees
Space group I-43d (No. 220)
Symmetry-distinct sites (fractional):
Er (0.050, 0.450, 0.550) (multiplicity 16)
C (0.000, 0.250, 0.793) (multiplicity 24)